Structure and computed powder XRD pattern of NaNiMoF6 (a structure optimized by DFT (GGA+U); Cu Kα X-rays).

Top 8 peaks for 10° ≤ 2θ ≤ 90°, low angle first:
- 18.0 deg, 4.934 Å, I 16
- 20.1 deg, 4.425 Å, I 41
- 25.4 deg, 3.501 Å, I 100
- 32.7 deg, 2.740 Å, I 56
- 37.5 deg, 2.397 Å, I 18
- 49.6 deg, 1.837 Å, I 72
- 52.3 deg, 1.750 Å, I 23
- 63.0 deg, 1.475 Å, I 29

Crystal structure
```
NaNiMoF6
1.0
4.951 0.000 0.000
0.000 4.951 0.000
0.000 0.000 9.868
Na Ni Mo F
2 2 2 12
Cartesian
0.000 0.000 0.000
2.475 2.475 4.934
0.000 0.000 3.267
2.475 2.475 8.201
0.000 0.000 6.580
2.475 2.475 1.646
0.898 0.898 4.889
0.987 0.987 1.774
1.030 1.030 8.112
1.445 3.506 3.177
1.488 3.462 6.708
1.577 3.374 9.823
3.374 1.577 9.823
3.462 1.488 6.708
3.506 1.445 3.177
3.920 3.920 8.112
3.964 3.964 1.774
4.052 4.052 4.889
```

Structure and computed powder XRD pattern of Na5MoO4F2 (a structure optimized by DFT (GGA+U); Cu Kα X-rays).

Top 8 peaks for 10° ≤ 2θ ≤ 90°, low angle first:
- 13.1 deg, 6.759 Å, I 33
- 18.4 deg, 4.828 Å, I 66
- 22.6 deg, 3.927 Å, I 78
- 32.1 deg, 2.785 Å, I 83
- 32.3 deg, 2.768 Å, I 100
- 46.2 deg, 1.964 Å, I 63
- 57.4 deg, 1.606 Å, I 34
- 57.5 deg, 1.604 Å, I 24

Crystal structure
```
Na5MoO4F2
1.0
6.759 0.000 0.000
0.000 4.819 2.790
0.000 -4.819 2.790
Na Mo O F
5 1 4 2
Cartesian
0.000 0.000 0.000
1.682 -1.788 2.785
1.682 1.788 2.785
5.077 -1.788 2.785
5.077 1.788 2.785
3.379 0.000 0.131
1.862 0.000 1.243
3.379 -3.247 1.907
3.379 3.247 1.907
4.897 0.000 1.243
0.000 -1.833 4.315
0.000 1.833 4.315
```

Structure and computed powder XRD pattern of Na3MoO4F (a structure optimized by DFT (GGA+U); Cu Kα X-rays).

Top 8 peaks for 10° ≤ 2θ ≤ 90°, low angle first:
- 20.6 deg, 4.302 Å, I 100
- 23.4 deg, 3.804 Å, I 22
- 23.6 deg, 3.769 Å, I 41
- 27.2 deg, 3.284 Å, I 23
- 31.4 deg, 2.849 Å, I 58
- 31.7 deg, 2.827 Å, I 16
- 41.9 deg, 2.154 Å, I 16
- 48.3 deg, 1.885 Å, I 22

Crystal structure
```
Na3MoO4F
1.0
5.705 0.000 0.000
0.000 7.609 0.000
0.000 0.000 13.017
Na Mo O F
12 4 16 4
Cartesian
1.272 0.307 2.345
1.272 3.498 2.345
1.300 5.707 11.639
1.553 1.902 5.131
1.581 4.111 8.853
1.581 7.302 8.853
4.125 0.307 4.163
4.125 3.498 4.163
4.152 5.707 7.886
4.406 1.902 1.377
4.433 4.111 10.672
4.433 7.302 10.672
1.218 5.707 5.413
1.635 1.902 11.921
4.071 5.707 1.095
4.487 1.902 7.604
0.586 1.902 7.535
0.977 1.902 0.577
1.058 0.437 11.055
1.058 3.367 11.055
1.795 4.242 4.546
1.795 7.171 4.546
1.876 5.707 7.085
2.266 5.707 1.026
3.439 1.902 11.990
3.830 1.902 5.931
3.911 0.437 8.470
3.911 3.367 8.470
4.647 4.242 1.962
4.647 7.171 1.962
4.728 5.707 12.439
5.119 5.707 5.482
0.028 5.707 9.502
2.825 1.902 2.993
2.881 5.707 10.023
5.677 1.902 3.515
```

Structure and computed powder XRD pattern of Na2PmMoF8 (a structure optimized by DFT (GGA+U); Cu Kα X-rays).

Top 8 peaks for 10° ≤ 2θ ≤ 90°, low angle first:
- 16.0 deg, 5.546 Å, I 100
- 22.0 deg, 4.047 Å, I 39
- 23.8 deg, 3.735 Å, I 33
- 26.7 deg, 3.340 Å, I 54
- 27.9 deg, 3.203 Å, I 52
- 28.8 deg, 3.098 Å, I 87
- 45.8 deg, 1.981 Å, I 55
- 47.3 deg, 1.922 Å, I 44

Crystal structure
```
Na2PmMoF8
1.0
4.051 0.000 0.000
0.000 7.470 0.000
-0.244 0.000 5.546
Na Pm Mo F
2 1 1 8
Cartesian
0.000 1.760 0.000
0.000 5.710 0.000
1.904 3.735 2.773
1.904 0.000 2.773
-0.018 3.735 1.464
0.242 0.000 1.495
1.629 1.751 4.030
1.629 5.719 4.030
2.179 1.751 1.516
2.179 5.719 1.516
3.565 0.000 4.052
3.825 3.735 4.083
```

Structure and computed powder XRD pattern of NaZnMoF6 (a structure optimized by DFT (GGA+U); Cu Kα X-rays).

Top 8 peaks for 10° ≤ 2θ ≤ 90°, low angle first:
- 18.4 deg, 4.821 Å, I 100
- 26.2 deg, 3.406 Å, I 75
- 32.3 deg, 2.774 Å, I 32
- 37.4 deg, 2.405 Å, I 68
- 42.0 deg, 2.151 Å, I 19
- 50.1 deg, 1.821 Å, I 60
- 53.9 deg, 1.700 Å, I 19
- 57.5 deg, 1.602 Å, I 27

Crystal structure
```
NaZnMoF6
1.0
5.549 0.000 0.000
-2.774 4.805 0.000
0.000 0.000 9.657
Na Zn Mo F
2 2 2 12
Cartesian
0.000 0.000 0.000
0.000 0.000 4.828
0.000 3.203 2.414
2.774 1.602 7.243
0.000 3.203 7.243
2.774 1.602 2.414
-0.964 1.710 1.337
-1.776 3.115 3.492
0.964 1.710 3.492
-0.812 4.785 1.337
1.963 0.020 6.165
0.998 1.690 8.320
1.776 3.115 1.337
0.812 4.785 3.492
3.586 0.020 8.320
1.810 3.096 6.165
4.550 1.690 6.165
3.739 3.096 8.320
```

Structure and computed powder XRD pattern of Na2ZnMoF8 (a structure optimized by DFT (GGA+U); Cu Kα X-rays).

Top 8 peaks for 10° ≤ 2θ ≤ 90°, low angle first:
- 17.6 deg, 5.040 Å, I 100
- 24.2 deg, 3.675 Å, I 73
- 25.7 deg, 3.461 Å, I 51
- 31.5 deg, 2.844 Å, I 37
- 31.8 deg, 2.810 Å, I 32
- 35.6 deg, 2.524 Å, I 34
- 47.1 deg, 1.929 Å, I 27
- 47.9 deg, 1.898 Å, I 26

Crystal structure
```
Na2ZnMoF8
1.0
3.676 -3.461 0.000
3.676 3.461 0.000
-0.127 0.000 6.829
Na Zn Mo F
2 1 1 8
Cartesian
0.013 0.000 1.795
7.212 0.000 5.034
3.612 0.000 3.415
3.676 0.000 0.000
3.676 1.973 0.000
3.612 1.880 3.415
2.232 0.000 5.335
2.350 0.000 1.572
4.875 0.000 5.257
4.993 0.000 1.495
3.612 -1.880 3.415
3.676 -1.973 0.000
```